Structure and calculated X-ray powder pattern of PrDyErSc (a cell relaxed with GGA-PBE; CuKα).
Peak positions follow from Bragg's law for the DFT cell and can differ from measured ones.

Crystal structure
```
data_PrDyErSc
_chemical_formula_sum 'Pr1 Dy1 Er1 Sc1'
_cell_length_a 11.543
_cell_length_b 11.543
_cell_length_c 11.543
_cell_angle_alpha 17.57
_cell_angle_beta 17.57
_cell_angle_gamma 17.57
_space_group_name_H-M_alt 'P 1'
_space_group_IT_number 1
loop_
_space_group_symop_operation_xyz
'x,y,z'
loop_
_atom_site_label
_atom_site_fract_x
_atom_site_fract_y
_atom_site_fract_z
Pr1 0.000 0.000 0.000
Dy1 0.756 0.756 0.756
Er1 0.172 0.172 0.172
Sc1 0.584 0.584 0.584
```

Main lines, in order of rising 2θ (10 to 80 degrees two-theta):
29.4°, rel. 23; 29.7°, rel. 22; 31.1°, rel. 31; 31.5°, rel. 46; 32.1°, rel. 100; 34.7°, rel. 62; 39.6°, rel. 20; 51.9°, rel. 35; 54.8°, rel. 26; 62.0°, rel. 39